(1)
Starting from the GGA-PBE geometry in Alexandria, the powder X-ray diffraction pattern of CeDy4In4 was calculated for Cu Ka.

Main lines, by angle (5 to 70 degrees two-theta):
| d/Å | 2θ/deg | I_rel | h k l |
| --- | --- | --- | --- |
| 6.012 | 14.74 | 21 | 1 0 1 |
| 3.171 | 28.14 | 20 | 1 0 3 |
| 3.124 | 28.58 | 100 | 2 1 1 |
| 2.585 | 34.70 | 48 | 2 2 0 |
| 2.536 | 35.40 | 96 | 2 0 3 |
| 2.483 | 36.18 | 29 | 1 0 4 |
| 2.054 | 44.09 | 14 | 2 1 4 |
| 1.828 | 49.88 | 27 | 4 0 0 |
| 1.608 | 57.29 | 22 | 3 2 4 |
| 1.483 | 62.65 | 29 | 4 2 3 |

Atomic structure:
Unit cell a=7.3124 b=7.3124 c=10.5588 alpha=90.00 beta=90.00 gamma=90.00
Space group P4_2/nmc (No. 137, origin choice 2)
Asymmetric unit:
1 Ce 0.2500 0.7500 0.2500
2 Dy 0.0161 0.2500 0.1584
3 In 0.0405 0.2500 0.4561

(2)
Starting from the GGA-PBE geometry in Alexandria, the powder X-ray diffraction pattern of CeDy2Ir3 was calculated for Cu Ka.

Main lines, by angle (5 to 70 degrees two-theta):
| d/Å | 2θ/deg | I_rel | h k l |
| --- | --- | --- | --- |
| 3.259 | 27.36 | 2 | 1 1 0 |
| 2.847 | 31.42 | 51 | 0 2 0 |
| 2.837 | 31.54 | 100 | 1 0 3 |
| 2.025 | 44.76 | 19 | 0 0 6 |
| 2.009 | 45.12 | 75 | 1 2 3 |
| 1.987 | 45.65 | 18 | 2 0 0 |
| 1.650 | 55.71 | 20 | 0 2 6 |
| 1.630 | 56.47 | 20 | 2 2 0 |
| 1.423 | 65.58 | 6 | 0 4 0 |
| 1.418 | 65.85 | 12 | 2 0 6 |

Atomic structure:
Unit cell a=3.9749 b=5.6937 c=12.1483 alpha=90.00 beta=90.00 gamma=90.00
Space group Immm (No. 71)
Asymmetric unit:
1 Ce 0.0000 0.0000 0.0000
2 Dy 0.0000 0.0000 0.3323
3 Ir 0.0000 0.5000 0.0000
4 Ir 0.0000 0.5000 0.3391

(3)
Starting from the GGA-PBE geometry in Alexandria, the powder X-ray diffraction pattern of CeDyNiIr was calculated for Cu Ka.

Main lines, by angle (5 to 70 degrees two-theta):
| d/Å | 2θ/deg | I_rel | h k l |
| --- | --- | --- | --- |
| 5.062 | 17.52 | 17 | 0 0 2 |
| 2.747 | 32.60 | 100 | 1 1 1 |
| 2.531 | 35.47 | 25 | 0 0 4 |
| 2.500 | 35.93 | 22 | 0 1 3 |
| 2.224 | 40.56 | 30 | 2 0 0 |
| 2.200 | 41.03 | 20 | 1 0 4 |
| 2.179 | 41.44 | 60 | 1 1 3 |
| 1.860 | 48.97 | 17 | 0 2 0 |
| 1.671 | 54.96 | 14 | 2 0 4 |
| 1.427 | 65.40 | 15 | 2 2 0 |

Atomic structure:
Unit cell a=4.4481 b=3.7205 c=10.1240 alpha=90.00 beta=90.00 gamma=90.00
Space group Amm2 (No. 38)
Asymmetric unit:
1 Ce 0.0000 0.0000 0.0000
2 Dy 0.5000 0.0000 0.2779
3 Ni 0.5000 0.0000 0.5571
4 Ir 0.0000 0.0000 0.7218

(4)
Starting from the GGA-PBE geometry in Alexandria, the powder X-ray diffraction pattern of KCe2DySe4 was calculated for Cu Ka.

Main lines, by angle (5 to 70 degrees two-theta):
| d/Å | 2θ/deg | I_rel | h k l |
| --- | --- | --- | --- |
| 7.024 | 12.60 | 11 | 0 0 1 |
| 3.014 | 29.64 | 100 | 1 1 1 |
| 2.157 | 41.88 | 13 | 2 0 2 |
| 2.134 | 42.35 | 24 | 1 1 -3 |
| 2.127 | 42.49 | 25 | 3 1 -1 |
| 2.106 | 42.94 | 12 | 0 2 0 |
| 1.726 | 53.05 | 13 | 2 2 -2 |
| 1.507 | 61.54 | 12 | 4 0 -4 |
| 1.349 | 69.69 | 11 | 3 1 -5 |
| 1.346 | 69.89 | 11 | 5 1 -3 |

Atomic structure:
Unit cell a=7.3950 b=4.2124 c=7.4269 alpha=90.00 beta=108.80 gamma=90.00
Space group P2/m (No. 10)
Asymmetric unit:
1 K 0.0000 0.0000 0.0000
2 Ce 0.5000 0.0000 0.5000
3 Ce 0.5000 0.5000 0.0000
4 Dy 0.0000 0.5000 0.5000
5 Se 0.2447 0.0000 0.7364
6 Se 0.2572 0.5000 0.2682